No. 1
Starting from the PBE geometry in Alexandria, the XRD peak list of K3B2O4 was calculated for copper Kα.
Lines closer than 0.1° are merged.

Main lines, low angle first (15° ≤ 2θ ≤ 90°):
(0 4 0), 5.293 Å, intensity 16.4; (1 2 1), 3.733 Å, intensity 20.3; (0 6 0), 3.529 Å, intensity 36.2; (0 0 2), 3.436 Å, intensity 22.3; (1 4 1), 3.186 Å, intensity 100.0; (0 6 2), 2.462 Å, intensity 27.9; (2 0 0), 2.449 Å, intensity 19.3; (0 3 3), 2.179 Å, intensity 18.9; (2 6 0), 2.013 Å, intensity 22.0; (2 0 2), 1.994 Å, intensity 24.6; (1 10 1), 1.870 Å, intensity 22.7; (2 6 2), 1.736 Å, intensity 14.1

Structural model:
abc: 4.899 21.172 6.872
angles: 90.00 90.00 90.00
Space group Imma (No. 74)
Inequivalent atoms, fractional coordinates:
K (0.000, 0.087, 0.053)
K (0.000, 0.250, 0.508)
B (0.000, 0.019, 0.641)
O (0.000, 0.048, 0.436)
O (0.250, 0.038, 0.750)

No. 2
Starting from the PBE geometry in Alexandria, the XRD peak list of K2BO2 was calculated for copper Kα.
Lines closer than 0.1° are merged.

Main lines, low angle first (15° ≤ 2θ ≤ 90°):
(1 3 0), 4.718 Å, intensity 12.3; (0 4 0), 4.253 Å, intensity 53.9; (1 2 1), 3.371 Å, intensity 91.5; (2 4 0), 3.007 Å, intensity 58.5; (1 6 1), 2.244 Å, intensity 100.0; (2 8 0), 1.902 Å, intensity 18.6; (0 4 2), 1.836 Å, intensity 15.0; (2 4 2), 1.686 Å, intensity 11.8; (1 10 1), 1.544 Å, intensity 14.7; (2 8 2), 1.390 Å, intensity 16.2; (3 10 1), 1.373 Å, intensity 12.3; (1 6 3), 1.211 Å, intensity 10.7

Structural model:
abc: 8.507 17.012 4.070
angles: 90.00 90.00 90.00
Space group Ibam (No. 72)
Inequivalent atoms, fractional coordinates:
K (0.235, 0.123, 0.000)
B (0.000, 0.000, 0.250)
O (0.091, 0.046, 0.500)

No. 3
Starting from the PBE geometry in Alexandria, the XRD peak list of K4B2O5 was calculated for copper Kα.
Lines closer than 0.1° are merged.

Main lines, low angle first (15° ≤ 2θ ≤ 90°):
(2 0 0), 4.371 Å, intensity 23.3; (2 0 -1), 4.221 Å, intensity 25.5; (1 1 1), 3.791 Å, intensity 24.9; (1 1 -2), 3.065 Å, intensity 49.0; (0 2 0), 3.053 Å, intensity 48.9; (3 1 -1), 2.673 Å, intensity 100.0; (1 1 2), 2.662 Å, intensity 42.1; (2 0 -3), 2.301 Å, intensity 44.4; (0 2 2), 2.285 Å, intensity 39.8; (2 2 1), 2.247 Å, intensity 63.2; (2 2 -2), 2.188 Å, intensity 33.7; (3 3 -1), 1.679 Å, intensity 20.0

Structural model:
abc: 9.042 6.106 7.156
angles: 90.00 105.15 90.00
Space group Cm (No. 8)
Inequivalent atoms, fractional coordinates:
K (0.000, 0.000, 0.000)
K (0.108, 0.500, 0.693)
K (0.268, 0.500, 0.271)
K (0.381, 0.000, 0.267)
B (0.139, 0.000, 0.465)
B (0.268, 0.000, 0.838)
O (0.086, 0.198, 0.383)
O (0.267, 0.198, 0.929)
O (0.270, 0.000, 0.635)

No. 4
Starting from the PBE geometry in Alexandria, the XRD peak list of K2BOsO6 was calculated for copper Kα.
Lines closer than 0.1° are merged.

Main lines, low angle first (15° ≤ 2θ ≤ 90°):
(1 1 -1), 4.636 Å, intensity 100.0; (0 0 1), 4.612 Å, intensity 14.6; (0 2 1), 3.264 Å, intensity 34.9; (2 0 0), 2.683 Å, intensity 41.9; (1 3 0), 2.669 Å, intensity 27.7; (0 4 0), 2.308 Å, intensity 25.2; (3 1 -1), 2.083 Å, intensity 15.7; (0 2 2), 2.065 Å, intensity 9.5; (3 1 -3), 1.756 Å, intensity 13.3; (2 4 0), 1.750 Å, intensity 19.6; (1 5 -1), 1.746 Å, intensity 15.3; (3 5 -1), 1.397 Å, intensity 9.5

Structural model:
abc: 6.595 9.237 5.669
angles: 90.00 125.55 90.00
Space group C2/m (No. 12)
Inequivalent atoms, fractional coordinates:
K (0.000, 0.250, 0.000)
B (0.000, 0.000, 0.500)
Os (0.000, 0.500, 0.500)
O (0.000, 0.299, 0.500)
O (0.191, 0.000, 0.499)
O (0.200, 0.500, 0.902)

No. 5
Starting from the PBE geometry in Alexandria, the XRD peak list of KBP2PbO8 was calculated for copper Kα.
Lines closer than 0.1° are merged.

Main lines, low angle first (15° ≤ 2θ ≤ 90°):
(0 2 0), 5.103 Å, intensity 27.3; (2 0 -2), 4.065 Å, intensity 77.4; (0 0 2), 3.619 Å, intensity 70.7; (2 2 -1), 3.593 Å, intensity 49.9; (2 2 0), 3.261 Å, intensity 29.5; (2 2 -2), 3.177 Å, intensity 31.5; (3 1 -1), 3.157 Å, intensity 100.0; (1 1 -3), 2.656 Å, intensity 29.8; (3 1 -3), 2.616 Å, intensity 22.1; (2 2 1), 2.593 Å, intensity 27.9; (1 3 2), 2.172 Å, intensity 28.0; (5 1 -3), 1.956 Å, intensity 23.7

Structural model:
abc: 10.130 10.207 8.647
angles: 90.00 123.17 90.00
Space group Cc (No. 9)
Inequivalent atoms, fractional coordinates:
K (0.000, 0.078, 0.000)
B (0.422, 0.147, 0.234)
P (0.250, 0.343, 0.981)
P (0.353, 0.072, 0.498)
Pb (0.084, 0.307, 0.465)
O (0.077, 0.289, 0.841)
O (0.176, 0.084, 0.415)
O (0.251, 0.485, 0.032)
O (0.305, 0.253, 0.156)
O (0.349, 0.318, 0.898)
O (0.387, 0.058, 0.341)
O (0.420, 0.066, 0.091)
O (0.449, 0.184, 0.631)

No. 6
Starting from the PBE geometry in Alexandria, the XRD peak list of KSrBP2O8 was calculated for copper Kα.
Lines closer than 0.1° are merged.

Main lines, low angle first (15° ≤ 2θ ≤ 90°):
(0 0 2), 3.585 Å, intensity 100.0; (2 2 0), 3.253 Å, intensity 13.4; (3 1 -1), 3.154 Å, intensity 47.0; (1 3 0), 3.140 Å, intensity 25.8; (1 3 -1), 3.117 Å, intensity 17.1; (3 1 -2), 3.085 Å, intensity 13.4; (1 1 -3), 2.631 Å, intensity 14.9; (2 2 1), 2.585 Å, intensity 23.5; (2 2 -3), 2.487 Å, intensity 16.3; (3 1 1), 2.193 Å, intensity 10.5; (1 3 -3), 2.121 Å, intensity 11.7; (1 5 0), 1.974 Å, intensity 18.6

Structural model:
abc: 10.115 10.142 8.563
angles: 90.00 123.01 90.00
Space group Cc (No. 9)
Inequivalent atoms, fractional coordinates:
K (0.000, 0.081, 0.000)
Sr (0.090, 0.308, 0.477)
B (0.414, 0.148, 0.221)
P (0.242, 0.346, 0.967)
P (0.347, 0.073, 0.489)
O (0.071, 0.287, 0.827)
O (0.171, 0.085, 0.409)
O (0.238, 0.489, 0.016)
O (0.299, 0.257, 0.146)
O (0.339, 0.321, 0.882)
O (0.379, 0.059, 0.328)
O (0.413, 0.069, 0.076)
O (0.443, 0.183, 0.625)

No. 7
Starting from the PBE geometry in Alexandria, the XRD peak list of K2B2PbO6 was calculated for copper Kα.
Lines closer than 0.1° are merged.

Main lines, low angle first (15° ≤ 2θ ≤ 90°):
(1 0 0), 4.648 Å, intensity 33.3; (0 1 1), 3.826 Å, intensity 100.0; (1 0 2), 2.728 Å, intensity 47.8; (1 1 0), 2.683 Å, intensity 28.5; (1 1 1), 2.493 Å, intensity 15.5; (2 0 1), 2.197 Å, intensity 25.4; (1 1 2), 2.099 Å, intensity 17.6; (0 1 3), 2.022 Å, intensity 12.6; (0 2 2), 1.913 Å, intensity 16.7; (2 -1 3), 1.722 Å, intensity 16.9; (1 2 1), 1.700 Å, intensity 23.9; (2 1 2), 1.558 Å, intensity 13.7

Structural model:
abc: 5.3668 5.3668 6.7384
angles: 90.00 90.00 120.00
Space group P-3 (No. 147)
Inequivalent atoms, fractional coordinates:
K (0.3333, 0.6667, 0.3637)
B (0.3333, 0.6667, 0.8247)
Pb (0.0000, 0.0000, 0.0000)
O (0.1195, 0.3797, 0.8089)

No. 8
Starting from the PBE geometry in Alexandria, the XRD peak list of KBPdO4 was calculated for copper Kα.
Lines closer than 0.1° are merged.

Main lines, low angle first (15° ≤ 2θ ≤ 90°):
(1 1 0), 5.458 Å, intensity 50.4; (1 1 1), 4.100 Å, intensity 93.3; (0 2 1), 3.781 Å, intensity 44.0; (2 0 0), 3.329 Å, intensity 84.5; (1 3 0), 2.867 Å, intensity 100.0; (1 1 2), 2.699 Å, intensity 83.0; (2 2 1), 2.498 Å, intensity 39.6; (2 2 2), 2.050 Å, intensity 18.1; (1 1 3), 1.936 Å, intensity 31.3; (3 3 0), 1.819 Å, intensity 38.3; (1 5 1), 1.758 Å, intensity 20.9; (2 4 2), 1.644 Å, intensity 27.0

Structural model:
abc: 6.658 9.531 6.211
angles: 90.00 90.00 90.00
Space group Cmcm (No. 63)
Inequivalent atoms, fractional coordinates:
K (0.000, 0.000, 0.000)
B (0.000, 0.388, 0.250)
Pd (0.000, 0.342, 0.750)
O (0.000, 0.296, 0.059)
O (0.174, 0.484, 0.250)